Diffraction record for Li2CoCSO7. The powder XRD pattern is theoretical, not measured: it uses a DFT-relaxed cell (PBE+U, the Materials Project) and Cu Kα (weighted mean of Kα1 and Kα2).
No peak broadening, texture or thermal motion is included.

Cell and atoms:
a b c (Å): 6.4300 8.9604 9.9564
angles (deg): 83.39 89.92 89.91
Space group P1 (No. 1)
One atom of each set of equivalent atoms:
Li1 0.0000 0.0000 0.0000 (multiplicity 1)
Li2 0.0011 0.0000 0.4994 (multiplicity 1)
Li3 0.4705 0.9998 0.4992 (multiplicity 1)
Li4 0.4697 0.9991 0.9988 (multiplicity 1)
Li5 0.4993 0.3638 0.7113 (multiplicity 1)
Li6 0.5020 0.3634 0.2104 (multiplicity 1)
Li7 0.9689 0.3637 0.7102 (multiplicity 1)
Li8 0.9720 0.3646 0.2103 (multiplicity 1)
Co1 0.2354 0.8296 0.7218 (multiplicity 1)
Co2 0.2357 0.8291 0.2221 (multiplicity 1)
Co3 0.7355 0.5340 0.4881 (multiplicity 1)
Co4 0.7387 0.5348 0.9878 (multiplicity 1)
C1 0.2346 0.1093 0.7417 (multiplicity 1)
C2 0.2361 0.1091 0.2416 (multiplicity 1)
C3 0.7349 0.2542 0.9686 (multiplicity 1)
C4 0.7356 0.2541 0.4683 (multiplicity 1)
S1 0.2357 0.5928 0.4813 (multiplicity 1)
S2 0.2373 0.5933 0.9807 (multiplicity 1)
S3 0.7356 0.7698 0.2287 (multiplicity 1)
S4 0.7357 0.7707 0.7285 (multiplicity 1)
O1 0.0507 0.5017 0.5294 (multiplicity 1)
O2 0.0526 0.5022 0.0298 (multiplicity 1)
O3 0.2337 0.2490 0.7557 (multiplicity 1)
O4 0.2349 0.0043 0.8463 (multiplicity 1)
O5 0.2354 0.0590 0.1231 (multiplicity 1)
O6 0.2353 0.0596 0.6230 (multiplicity 1)
O7 0.2351 0.7413 0.5328 (multiplicity 1)
O8 0.2361 0.0041 0.3462 (multiplicity 1)
O9 0.2365 0.6171 0.3301 (multiplicity 1)
O10 0.2360 0.6178 0.8297 (multiplicity 1)
O11 0.2369 0.2489 0.2555 (multiplicity 1)
O12 0.2374 0.7417 0.0325 (multiplicity 1)
O13 0.4206 0.5016 0.5300 (multiplicity 1)
O14 0.4225 0.5021 0.0285 (multiplicity 1)
O15 0.5504 0.8616 0.6802 (multiplicity 1)
O16 0.5507 0.8609 0.1802 (multiplicity 1)
O17 0.7311 0.3592 0.8640 (multiplicity 1)
O18 0.7345 0.1145 0.9547 (multiplicity 1)
O19 0.7353 0.7456 0.3797 (multiplicity 1)
O20 0.7356 0.1144 0.4543 (multiplicity 1)
O21 0.7356 0.3039 0.5869 (multiplicity 1)
O22 0.7356 0.3591 0.3637 (multiplicity 1)
O23 0.7364 0.6220 0.6773 (multiplicity 1)
O24 0.7368 0.6211 0.1773 (multiplicity 1)
O25 0.7365 0.7467 0.8796 (multiplicity 1)
O26 0.7395 0.3042 0.0871 (multiplicity 1)
O27 0.9202 0.8620 0.6797 (multiplicity 1)
O28 0.9206 0.8609 0.1804 (multiplicity 1)

Peak list (10 most intense, 10 to 90 degrees two-theta, sorted by position)
h k l  two_theta  intensity
1 -1 0  17.01  53
0 1 2  19.51  48
0 1 -2  21.54  58
1 0 -2  22.68  22
0 2 2  25.34  68
2 0 0  27.75  100
0 2 -2  28.48  30
1 -3 2  39.74  27
1 2 4  42.13  18
4 0 0  57.34  35